[1]
The following is a theoretical PXRD pattern of CrPbW2N. It was derived from a cell relaxed with GGA-PBE, using Cu Ka.
Intensities are scaled so that the largest is 100.

Structural model:
```
data_CrPbW2N
_cell_length_a 4.558
_cell_length_b 4.558
_cell_length_c 5.186
_cell_angle_alpha 90.00
_cell_angle_beta 90.00
_cell_angle_gamma 90.00
_symmetry_space_group_name_H-M 'P 4/m m m'
_symmetry_Int_Tables_number 123
_symmetry_space_group_name_Hall '-P 4 2'
loop_
_atom_site_label
_atom_site_fract_x
_atom_site_fract_y
_atom_site_fract_z
_atom_site_occupancy
Cr1 0.000 0.000 0.000 1
Pb1 0.000 0.000 0.500 1
W1 0.000 0.500 0.000 1
N1 0.500 0.500 0.500 1
```

Principal peaks in the range 15° ≤ 2θ ≤ 90°, by angle:
| h k l | 2θ/deg | intensity |
| --- | --- | --- |
| 1 0 0 | 19.48 | 38 |
| 1 1 1 | 32.71 | 100 |
| 0 0 2 | 34.59 | 31 |
| 2 0 0 | 39.54 | 44 |
| 2 0 2 | 53.53 | 36 |
| 3 1 1 | 67.44 | 26 |

=====

[2]
The following is a theoretical PXRD pattern of LiYCd4. It was derived from a cell relaxed with GGA-PBE, using Cu Ka.
Intensities are scaled so that the largest is 100.

Structural model:
```
data_LiYCd4
_cell_length_a 4.9009
_cell_length_b 4.9009
_cell_length_c 6.6196
_cell_angle_alpha 90.00
_cell_angle_beta 90.00
_cell_angle_gamma 120.00
_symmetry_space_group_name_H-M 'P 6/m m m'
_symmetry_Int_Tables_number 191
_symmetry_space_group_name_Hall '-P 6 2'
loop_
_atom_site_label
_atom_site_fract_x
_atom_site_fract_y
_atom_site_fract_z
_atom_site_occupancy
Li1 0.0000 0.0000 0.0000 1
Y1 0.0000 0.0000 0.5000 1
Cd1 0.3333 0.6667 0.2366 1
```

Principal peaks in the range 15° ≤ 2θ ≤ 90°, by angle:
| h k l | 2θ/deg | intensity |
| --- | --- | --- |
| 0 0 2 | 26.94 | 31 |
| 1 0 2 | 34.36 | 81 |
| 1 1 0 | 36.67 | 100 |
| 1 1 2 | 46.09 | 42 |
| 2 0 2 | 51.13 | 25 |
| 1 1 4 | 68.41 | 27 |

=====

[3]
The following is a theoretical PXRD pattern of Ba2GeTe2Se2. It was derived from a cell relaxed with GGA-PBE, using Cu Ka.
Intensities are scaled so that the largest is 100.

Structural model:
```
data_Ba2GeTe2Se2
_cell_length_a 7.613
_cell_length_b 7.294
_cell_length_c 9.406
_cell_angle_alpha 90.00
_cell_angle_beta 108.06
_cell_angle_gamma 90.00
_symmetry_space_group_name_H-M 'P 1 21/m 1'
_symmetry_Int_Tables_number 11
loop_
_symmetry_equiv_pos_as_xyz
'x,y,z'
'-x,-y,-z'
'-x,y+1/2,-z'
'x,-y+1/2,z'
loop_
_atom_site_label
_atom_site_fract_x
_atom_site_fract_y
_atom_site_fract_z
_atom_site_occupancy
Ba1 0.224 0.250 0.054 1
Ba2 0.224 0.250 0.556 1
Ge1 0.217 0.750 0.303 1
Te1 0.388 0.750 0.589 1
Te2 0.392 0.750 0.105 1
Se1 0.007 0.004 0.248 1
```

Principal peaks in the range 15° ≤ 2θ ≤ 90°, by angle:
| h k l | 2θ/deg | intensity |
| --- | --- | --- |
| 0 2 0 | 24.41 | 41 |
| 1 0 2 | 26.47 | 83 |
| 1 1 2 | 29.21 | 100 |
| 0 2 2 | 31.66 | 68 |
| 1 0 -4 | 38.28 | 39 |
| 3 1 2 | 49.76 | 34 |

=====

[4]
The following is a theoretical PXRD pattern of Tb4Pr2Tl3O2. It was derived from a cell relaxed with GGA-PBE, using Cu Ka.
Intensities are scaled so that the largest is 100.

Structural model:
```
data_Tb4Pr2Tl3O2
_cell_length_a 4.744
_cell_length_b 4.744
_cell_length_c 25.489
_cell_angle_alpha 90.00
_cell_angle_beta 90.00
_cell_angle_gamma 90.00
_symmetry_space_group_name_H-M 'I 4/m m m'
_symmetry_Int_Tables_number 139
_symmetry_space_group_name_Hall '-I 4 2'
loop_
_atom_site_label
_atom_site_fract_x
_atom_site_fract_y
_atom_site_fract_z
_atom_site_occupancy
Tb1 0.000 0.500 0.083 1
Pr1 0.000 0.000 0.196 1
Tl1 0.000 0.000 0.327 1
Tl2 0.000 0.000 0.500 1
O1 0.000 0.000 0.097 1
```

Principal peaks in the range 15° ≤ 2θ ≤ 90°, by angle:
| h k l | 2θ/deg | intensity |
| --- | --- | --- |
| 1 1 2 | 27.50 | 31 |
| 1 0 7 | 30.96 | 19 |
| 1 1 6 | 34.06 | 100 |
| 2 0 0 | 37.94 | 52 |
| 2 2 0 | 54.73 | 18 |
| 3 1 6 | 66.05 | 31 |

=====

[5]
The following is a theoretical PXRD pattern of Tb3Pr4Tm8. It was derived from a cell relaxed with GGA-PBE, using Cu Ka.
Intensities are scaled so that the largest is 100.

Structural model:
```
data_Tb3Pr4Tm8
_cell_length_a 6.9398
_cell_length_b 6.9398
_cell_length_c 35.3903
_cell_angle_alpha 90.00
_cell_angle_beta 90.00
_cell_angle_gamma 120.00
_symmetry_space_group_name_H-M 'R -3 m'
_symmetry_Int_Tables_number 166
_symmetry_space_group_name_Hall '-R 3 2"'
loop_
_atom_site_label
_atom_site_fract_x
_atom_site_fract_y
_atom_site_fract_z
_atom_site_occupancy
Tb1 0.0000 0.5000 0.0000 1
Pr1 0.0000 0.0000 0.0000 1
Pr2 0.0000 0.0000 0.1634 1
Pr3 0.0000 0.0000 0.5000 1
Tm1 0.0000 0.0000 0.2554 1
Tm2 0.0018 0.5009 0.2512 1
```

Principal peaks in the range 15° ≤ 2θ ≤ 90°, by angle:
| h k l | 2θ/deg | intensity |
| --- | --- | --- |
| 0 0 12 | 30.31 | 54 |
| 0 2 4 | 31.44 | 100 |
| 2 0 8 | 36.13 | 73 |
| 0 2 16 | 51.29 | 23 |
| 2 2 0 | 52.76 | 36 |
| 2 2 12 | 62.06 | 44 |

=====

[6]
The following is a theoretical PXRD pattern of CaErGaS4. It was derived from a cell relaxed with GGA-PBE, using Cu Ka.
Intensities are scaled so that the largest is 100.

Structural model:
```
data_CaErGaS4
_cell_length_a 7.645
_cell_length_b 7.853
_cell_length_c 10.973
_cell_angle_alpha 90.00
_cell_angle_beta 90.00
_cell_angle_gamma 90.00
_symmetry_space_group_name_H-M 'I m m a'
_symmetry_Int_Tables_number 74
_symmetry_space_group_name_Hall '-I 2b 2'
loop_
_atom_site_label
_atom_site_fract_x
_atom_site_fract_y
_atom_site_fract_z
_atom_site_occupancy
Ca1 0.250 0.250 0.250 1
Er1 0.000 0.000 0.000 1
Ga1 0.000 0.250 0.634 1
S1 0.000 0.007 0.753 1
S2 0.249 0.250 0.995 1
```

Principal peaks in the range 15° ≤ 2θ ≤ 90°, by angle:
| h k l | 2θ/deg | intensity |
| --- | --- | --- |
| 2 0 0 | 23.27 | 29 |
| 1 2 1 | 26.79 | 100 |
| 1 0 3 | 27.02 | 52 |
| 0 0 4 | 32.68 | 70 |
| 3 2 1 | 43.11 | 28 |
| 2 2 4 | 46.87 | 76 |

=====

[7]
The following is a theoretical PXRD pattern of Pu4Rh2Au. It was derived from a cell relaxed with GGA-PBE, using Cu Ka.
Intensities are scaled so that the largest is 100.

Structural model:
```
data_Pu4Rh2Au
_cell_length_a 8.699
_cell_length_b 8.699
_cell_length_c 8.592
_cell_angle_alpha 90.00
_cell_angle_beta 90.00
_cell_angle_gamma 90.00
_symmetry_space_group_name_H-M 'I -4 2 d'
_symmetry_Int_Tables_number 122
_symmetry_space_group_name_Hall 'I -4 2bw'
loop_
_atom_site_label
_atom_site_fract_x
_atom_site_fract_y
_atom_site_fract_z
_atom_site_occupancy
Pu1 0.073 0.171 0.316 1
Rh1 0.139 0.250 0.625 1
Au1 0.000 0.000 0.000 1
```

Principal peaks in the range 15° ≤ 2θ ≤ 90°, by angle:
| h k l | 2θ/deg | intensity |
| --- | --- | --- |
| 3 0 1 | 32.58 | 100 |
| 1 0 3 | 32.93 | 57 |
| 3 2 1 | 38.77 | 46 |
| 3 1 2 | 38.87 | 48 |
| 6 1 1 | 66.28 | 18 |
| 6 0 2 | 68.24 | 18 |

=====

[8]
The following is a theoretical PXRD pattern of AcNdBeN2. It was derived from a cell relaxed with GGA-PBE, using Cu Ka.
Intensities are scaled so that the largest is 100.

Structural model:
```
data_AcNdBeN2
_cell_length_a 5.113
_cell_length_b 5.503
_cell_length_c 7.070
_cell_angle_alpha 90.00
_cell_angle_beta 90.00
_cell_angle_gamma 90.00
_symmetry_space_group_name_H-M 'P c c m'
_symmetry_Int_Tables_number 49
loop_
_symmetry_equiv_pos_as_xyz
'x,y,z'
'-x,-y,-z'
'-x,-y,z'
'x,y,-z'
'x,-y,-z+1/2'
'-x,y,z+1/2'
'-x,y,-z+1/2'
'x,-y,z+1/2'
loop_
_atom_site_label
_atom_site_fract_x
_atom_site_fract_y
_atom_site_fract_z
_atom_site_occupancy
Ac1 0.000 0.000 0.250 1
Nd1 0.500 0.500 0.250 1
Be1 0.000 0.500 0.000 1
N1 0.214 0.300 0.000 1
```

Principal peaks in the range 15° ≤ 2θ ≤ 90°, by angle:
| h k l | 2θ/deg | intensity |
| --- | --- | --- |
| 1 1 0 | 23.75 | 100 |
| 0 0 2 | 25.19 | 37 |
| 0 2 0 | 32.54 | 22 |
| 1 1 2 | 34.90 | 83 |
| 0 2 2 | 41.59 | 27 |
| 2 0 2 | 43.69 | 23 |

=====

[9]
The following is a theoretical PXRD pattern of TlSnHgBr3. It was derived from a cell relaxed with GGA-PBE, using Cu Ka.
Intensities are scaled so that the largest is 100.

Structural model:
```
data_TlSnHgBr3
_cell_length_a 12.759
_cell_length_b 5.842
_cell_length_c 12.117
_cell_angle_alpha 90.00
_cell_angle_beta 97.23
_cell_angle_gamma 90.00
_symmetry_space_group_name_H-M 'C 1 2/m 1'
_symmetry_Int_Tables_number 12
loop_
_symmetry_equiv_pos_as_xyz
'x,y,z'
'-x,-y,-z'
'-x,y,-z'
'x,-y,z'
'x+1/2,y+1/2,z'
'-x+1/2,-y+1/2,-z'
'-x+1/2,y+1/2,-z'
'x+1/2,-y+1/2,z'
loop_
_atom_site_label
_atom_site_fract_x
_atom_site_fract_y
_atom_site_fract_z
_atom_site_occupancy
Tl1 0.138 0.000 0.091 1
Sn1 0.008 0.500 0.315 1
Hg1 0.205 0.500 0.536 1
Br1 0.027 0.000 0.322 1
Br2 0.108 0.500 0.891 1
Br3 0.193 0.500 0.220 1
```

Principal peaks in the range 15° ≤ 2θ ≤ 90°, by angle:
| h k l | 2θ/deg | intensity |
| --- | --- | --- |
| 2 0 2 | 21.64 | 54 |
| 1 1 -3 | 27.18 | 79 |
| 3 1 1 | 27.83 | 83 |
| 1 1 3 | 28.64 | 76 |
| 0 2 0 | 30.61 | 100 |
| 3 1 -4 | 37.79 | 61 |